Structure and simulated XRD peak list of TbDy6Ho6 (a structure optimized by DFT (GGA-PBE); Cu Kα X-rays).
No peak broadening, texture or thermal motion is included.

The 6 most intense peaks (10 to 90 degrees two-theta), in order of rising 2θ:
d [Å]  2θ/deg  I (rel.)  (hkl)
3.051  29.27  828  1 3 -1
2.940  30.40  950  0 0 2
2.798  31.99  313  2 2 -1
2.759  32.45  405  2 0 -2
2.592  34.60  1000  2 2 0
2.521  35.61  312  1 3 1

Cell and atoms:
a b c (Å): 6.514 10.984 6.531
angles (deg): 90.00 115.59 90.00
Fractional coordinates of all 13 atoms:
1 Tb 0.000 0.000 0.000
2 Dy 0.000 0.335 0.000
3 Dy 0.000 0.665 0.000
4 Dy 0.269 0.500 0.740
5 Dy 0.329 0.000 0.614
6 Dy 0.671 0.000 0.386
7 Dy 0.731 0.500 0.260
8 Ho 0.000 0.232 0.500
9 Ho 0.000 0.768 0.500
10 Ho 0.500 0.216 0.000
11 Ho 0.500 0.302 0.500
12 Ho 0.500 0.698 0.500
13 Ho 0.500 0.784 0.000